Structure and computed X-ray powder pattern of TbZn3Au3 (a cell relaxed with GGA-PBE; Cu Ka).
Peak positions follow from Bragg's law for the DFT cell and can differ from measured ones.

Cell: 7.4503 7.4503 7.4503 Å, 56.43 56.43 56.43°
Positions (direct):
Tb: 0.1614 0.1614 0.1614
Tb: 0.8386 0.8386 0.8386
Zn: 0.0451 0.2275 0.6043
Zn: 0.2275 0.6043 0.0451
Zn: 0.3957 0.9549 0.7725
Zn: 0.6043 0.0451 0.2275
Zn: 0.7725 0.3957 0.9549
Zn: 0.9549 0.7725 0.3957
Au: 0.1924 0.4281 0.6759
Au: 0.3241 0.8076 0.5719
Au: 0.4281 0.6759 0.1924
Au: 0.5719 0.3241 0.8076
Au: 0.6759 0.1924 0.4281
Au: 0.8076 0.5719 0.3241

Largest 10 diffraction maxima, in order of rising 2θ, 2θ = 10–90°:
2theta	I_rel
14.19	26
29.11	95
36.68	38
38.54	100
39.37	79
40.28	81
43.76	48
44.55	23
46.23	29
50.98	40

Structure and computed X-ray powder pattern of Nd2SmAs3Rh4 (a cell relaxed with GGA-PBE; Cu Ka).
Peak positions follow from Bragg's law for the DFT cell and can differ from measured ones.

Cell: 4.1642 4.1642 11.4791 Å, 90.00 90.00 90.00°
Positions (direct):
Nd: 0.0000 0.5000 0.2225
Nd: 0.5000 0.0000 0.7775
Sm: 0.0000 0.0000 0.5000
As: 0.0000 0.5000 0.8734
As: 0.5000 0.0000 0.1266
As: 0.5000 0.5000 0.5000
Rh: 0.0000 0.0000 0.0000
Rh: 0.0000 0.5000 0.6622
Rh: 0.5000 0.0000 0.3378
Rh: 0.5000 0.5000 0.0000

Largest 10 diffraction maxima, in order of rising 2θ, 2θ = 10–90°:
2theta	I_rel
31.76	27
34.23	100
38.08	14
43.46	47
44.06	18
45.09	18
54.82	12
63.15	15
64.42	12
73.83	21